Entry 1:
Diffraction record for K3NpS4. The X-ray powder pattern is computed, not measured: it uses a structure optimized by DFT (GGA-PBE) and Cu Kα, 1.54184 Å.

Crystal structure
a b c (Å): 8.851 12.461 4.157
angles (deg): 90.00 90.00 90.00
Space group Cmmm (No. 65)
One atom of each set of equivalent atoms:
K  0.000  0.000  0.000 [2 per cell]
K  0.250  0.250  0.500 [4 per cell]
Np  0.000  0.500  0.000 [2 per cell]
S  0.000  0.298  0.000 [4 per cell]
S  0.201  0.500  0.500 [4 per cell]

Peak list (10 most intense, 10° ≤ 2θ ≤ 80°, in order of rising 2θ)
- 12.27°, I = 100, hkl 1 1 0
- 14.22°, I = 27, hkl 0 2 0
- 24.70°, I = 49, hkl 2 2 0
- 25.76°, I = 18, hkl 0 2 1
- 28.66°, I = 27, hkl 0 4 0
- 29.48°, I = 57, hkl 2 0 1
- 38.09°, I = 17, hkl 3 1 1
- 41.58°, I = 35, hkl 2 4 1
- 43.56°, I = 23, hkl 0 0 2
- 52.93°, I = 18, hkl 0 4 2

Entry 2:
Diffraction record for KCuTcTe2Se. The X-ray powder pattern is computed, not measured: it uses a structure optimized by DFT (GGA-PBE) and Cu Kα, 1.54184 Å.

Crystal structure
a b c (Å): 8.647 3.902 10.165
angles (deg): 90.00 113.60 90.00
Space group P2_1/m (No. 11)
One atom of each set of equivalent atoms:
K  0.223  0.250  0.229 [2 per cell]
Cu  0.424  0.250  0.898 [2 per cell]
Tc  0.186  0.750  0.653 [2 per cell]
Te  0.248  0.750  0.939 [2 per cell]
Te  0.400  0.250  0.638 [2 per cell]
Se  0.028  0.750  0.378 [2 per cell]

Peak list (10 most intense, 10° ≤ 2θ ≤ 80°, in order of rising 2θ)
- 11.40°, I = 100, hkl 1 0 -1
- 25.55°, I = 20, hkl 1 1 -1
- 28.75°, I = 20, hkl 0 0 3
- 30.87°, I = 51, hkl 2 1 -1
- 32.20°, I = 28, hkl 2 1 0
- 35.04°, I = 19, hkl 1 0 3
- 39.05°, I = 17, hkl 3 1 -1
- 43.10°, I = 33, hkl 2 1 -4
- 46.55°, I = 22, hkl 0 2 0
- 49.79°, I = 17, hkl 2 1 3